Calculated powder diffractogram of LiVS3O12 for copper Kα, from a cell relaxed with PBE+U.

Peak list (6 most intense, 2θ from 15° to 90°, by angle)
h k l, d [Å], two_theta, I/Imax
1 1 -1, 5.115, 17.3, 639
0 2 -1, 4.120, 21.6, 925
-2 1 1, 3.654, 24.4, 1000
-1 1 2, 3.378, 26.4, 730
-1 2 1, 3.308, 27.0, 768
2 1 -1, 3.235, 27.6, 715

Structure:
Cell lengths 7.801, 8.472, 8.832 Å; angles 106.60, 108.17, 101.12 degrees
Space group P-1 (No. 2)
Symmetry-distinct sites (fractional):
Li1 0.237 0.110 0.445 [2 per cell]
V1 0.000 0.500 0.000 [1 per cell]
V2 0.000 0.500 0.500 [1 per cell]
S1 0.078 0.811 0.853 [2 per cell]
S2 0.269 0.385 0.774 [2 per cell]
S3 0.290 0.730 0.386 [2 per cell]
O1 0.020 0.316 0.082 [2 per cell]
O2 0.063 0.121 0.232 [2 per cell]
O3 0.123 0.688 0.710 [2 per cell]
O4 0.141 0.363 0.588 [2 per cell]
O5 0.141 0.431 0.875 [2 per cell]
O6 0.196 0.580 0.429 [2 per cell]
O7 0.210 0.869 0.426 [2 per cell]
O8 0.235 0.650 0.192 [2 per cell]
O9 0.252 0.928 0.986 [2 per cell]
O10 0.281 0.215 0.761 [2 per cell]
O11 0.435 0.530 0.840 [2 per cell]
O12 0.492 0.770 0.471 [2 per cell]